# CaNdMn2O6
Simulated powder X-ray diffraction pattern, Cu Kα (weighted mean of Kα1 and Kα2). Input: a DFT-relaxed cell (PBE+U, Alexandria).
Neutral-atom scattering factors, no anomalous dispersion.

Peak list (10 most intense, 2θ from 15° to 90°, low angle first)
d [Å]	two_theta	I (rel.)	(hkl)
5.308	16.70	453	1 1 0
2.761	32.42	313	2 0 2
2.736	32.74	675	0 2 3
2.724	32.87	1000	2 2 -1
1.946	46.68	202	0 0 6
1.931	47.05	198	4 0 -2
1.923	47.27	225	0 4 0
1.577	58.53	288	2 2 -7
1.571	58.80	297	4 2 -5
1.362	68.94	149	4 0 -8

Structural model:
Cell lengths 7.727, 7.692, 12.246 Å; angles 90.00, 107.57, 90.00 degrees
Atoms (fractional coordinates):
Ca  0.000  0.000  0.000
Ca  0.106  0.500  0.308
Ca  0.274  0.500  0.632
Ca  0.437  0.500  0.972
Ca  0.670  0.000  0.340
Ca  0.839  0.000  0.663
Nd  0.172  0.000  0.328
Nd  0.326  0.000  0.667
Nd  0.504  0.000  0.997
Nd  0.614  0.500  0.297
Nd  0.775  0.500  0.640
Nd  0.949  0.500  0.971
Mn  0.138  0.251  0.818
Mn  0.138  0.749  0.818
Mn  0.304  0.250  0.151
Mn  0.304  0.750  0.151
Mn  0.473  0.251  0.485
Mn  0.473  0.749  0.485
Mn  0.638  0.250  0.818
Mn  0.638  0.750  0.818
Mn  0.807  0.248  0.152
Mn  0.807  0.752  0.152
Mn  0.972  0.250  0.485
Mn  0.972  0.750  0.485
O  0.068  0.209  0.176
O  0.068  0.791  0.176
O  0.093  0.214  0.651
O  0.093  0.786  0.651
O  0.101  0.000  0.836
O  0.176  0.500  0.798
O  0.185  0.290  0.985
O  0.185  0.710  0.985
O  0.208  0.287  0.455
O  0.208  0.713  0.455
O  0.290  0.500  0.185
O  0.317  0.000  0.119
O  0.400  0.203  0.841
O  0.400  0.797  0.841
O  0.429  0.207  0.318
O  0.429  0.793  0.318
O  0.431  0.000  0.504
O  0.515  0.500  0.463
O  0.516  0.296  0.651
O  0.516  0.704  0.651
O  0.542  0.294  0.125
O  0.542  0.706  0.125
O  0.630  0.500  0.855
O  0.648  0.000  0.781
O  0.737  0.212  0.515
O  0.737  0.788  0.515
O  0.759  0.205  0.985
O  0.759  0.795  0.985
O  0.764  0.000  0.173
O  0.845  0.500  0.135
O  0.848  0.286  0.318
O  0.848  0.714  0.318
O  0.877  0.298  0.797
O  0.877  0.702  0.797
O  0.953  0.500  0.512
O  0.994  0.000  0.457